The following is a computed XRD peak list of Pr2Ho3Pb. It was derived from a PBE-relaxed structure, using copper Kα.

Largest 12 diffraction maxima, sorted by position, 2θ from 10° to 90°:
| d/Å | Position (°2θ) | intensity |
| --- | --- | --- |
| 2.888 | 30.97 | 100 |
| 2.569 | 34.93 | 18 |
| 2.480 | 36.22 | 17 |
| 2.457 | 36.57 | 16 |
| 1.784 | 51.20 | 12 |
| 1.776 | 51.46 | 12 |
| 1.746 | 52.41 | 12 |
| 1.538 | 60.18 | 15 |
| 1.499 | 61.90 | 14 |
| 1.489 | 62.37 | 14 |
| 1.444 | 64.54 | 12 |
| 1.156 | 83.64 | 6 |

Structural model:
```
6
Lattice="2.457 -7.707 0.000 2.457 7.707 0.000 0.000 0.000 4.960" Properties=species:S:1:pos:R:3 pbc="T T T"
Pr 2.457 5.214 0.000
Pr 2.457 -5.214 0.000
Ho 0.000 0.000 2.480
Ho 2.457 2.545 2.480
Ho 2.457 -2.545 2.480
Pb 2.457 0.000 0.000
```